[1]
The following is a calculated XRD peak list of ErV2Fe10N. It was derived from the GGA-PBE geometry in the Materials Project, using Cu Kα (weighted mean of Kα1 and Kα2).
Lines closer than 0.1° are merged.

Principal peaks in the range 2θ = 10–90°, low angle first:
2θ = 30.07°, I = 39
2θ = 36.81°, I = 43
2θ = 42.14°, I = 32
2θ = 42.26°, I = 35
2θ = 42.62°, I = 100
2θ = 43.87°, I = 75

Atomic structure:
Cell: 4.710 8.555 8.578 Å, 90.00 90.00 90.00°
Space group Immm (No. 71)
Symmetry-distinct sites (fractional):
1 Er 0.000 0.000 0.000 x2
2 V 0.000 0.357 0.000 x4
3 Fe 0.000 0.000 0.360 x4
4 Fe 0.000 0.277 0.500 x4
5 Fe 0.000 0.500 0.275 x4
6 Fe 0.250 0.250 0.250 x8
7 N 0.000 0.500 0.500 x2

---

[2]
The following is a calculated XRD peak list of Sb3P3O13. It was derived from the GGA-PBE geometry in the Materials Project, using Cu Kα (weighted mean of Kα1 and Kα2).
Lines closer than 0.1° are merged.

Principal peaks in the range 2θ = 10–90°, low angle first:
2θ = 13.38°, I = 44
2θ = 15.31°, I = 56
2θ = 18.78°, I = 100
2θ = 24.50°, I = 43
2θ = 26.67°, I = 41
2θ = 30.16°, I = 44

Atomic structure:
Cell: 7.826 6.719 11.408 Å, 90.00 93.21 90.00°
Space group P2_1/m (No. 11)
Symmetry-distinct sites (fractional):
1 Sb 0.000 0.000 0.000 x2
2 Sb 0.251 0.250 0.531 x2
3 Sb 0.349 0.750 0.201 x2
4 P 0.180 0.750 0.472 x2
5 P 0.245 0.250 0.229 x2
6 P 0.332 0.250 0.881 x2
7 O 0.005 0.250 0.587 x2
8 O 0.090 0.250 0.134 x2
9 O 0.128 0.750 0.113 x2
10 O 0.169 0.250 0.350 x2
11 O 0.220 0.566 0.547 x4
12 O 0.235 0.058 0.905 x4
13 O 0.311 0.750 0.370 x2
14 O 0.357 0.062 0.209 x4
15 O 0.395 0.250 0.749 x2
16 O 0.482 0.750 0.054 x2

---

[3]
The following is a calculated XRD peak list of BaSi2. It was derived from the GGA-PBE geometry in the Materials Project, using Cu Kα (weighted mean of Kα1 and Kα2).
Lines closer than 0.1° are merged.

Principal peaks in the range 2θ = 10–90°, low angle first:
2θ = 18.53°, I = 23
2θ = 29.50°, I = 100
2θ = 32.39°, I = 56
2θ = 50.43°, I = 32
2θ = 62.90°, I = 21
2θ = 75.63°, I = 19

Atomic structure:
Cell: 6.771 6.771 6.771 Å, 90.00 90.00 90.00°
Space group P4_332 (No. 212)
Symmetry-distinct sites (fractional):
1 Ba 0.125 0.125 0.125 x4
2 Si 0.082 0.582 0.918 x8

---

[4]
The following is a calculated XRD peak list of CsAuS. It was derived from the GGA-PBE geometry in the Materials Project, using Cu Kα (weighted mean of Kα1 and Kα2).
Lines closer than 0.1° are merged.

Principal peaks in the range 2θ = 10–90°, low angle first:
2θ = 16.09°, I = 45
2θ = 20.50°, I = 38
2θ = 24.97°, I = 72
2θ = 30.24°, I = 100
2θ = 33.47°, I = 37
2θ = 41.72°, I = 30

Atomic structure:
Cell: 7.133 8.666 7.005 Å, 90.00 90.00 90.00°
Space group Cmcm (No. 63)
Symmetry-distinct sites (fractional):
1 Cs 0.000 0.130 0.250 x4
2 Au 0.000 0.500 0.000 x4
3 S 0.000 0.321 0.750 x4

---

[5]
The following is a calculated XRD peak list of Ho2MgSb4O12. It was derived from the GGA-PBE geometry in the Materials Project, using Cu Kα (weighted mean of Kα1 and Kα2).
Lines closer than 0.1° are merged.

Principal peaks in the range 2θ = 10–90°, low angle first:
2θ = 19.75°, I = 75
2θ = 29.87°, I = 100
2θ = 30.02°, I = 94
2θ = 31.20°, I = 86
2θ = 31.77°, I = 93
2θ = 32.39°, I = 75

Atomic structure:
Cell: 5.761 5.794 8.190 Å, 90.50 95.40 91.36°
Space group P1 (No. 1)
Symmetry-distinct sites (fractional):
1 Ho 0.000 0.000 0.000 x1
2 Ho 0.462 0.358 0.476 x1
3 Mg 0.546 0.468 0.900 x1
4 Sb 0.001 0.459 0.726 x1
5 Sb 0.473 0.924 0.734 x1
6 Sb 0.483 0.913 0.259 x1
7 Sb 0.931 0.438 0.253 x1
8 O 0.068 0.729 0.181 x1
9 O 0.091 0.471 0.492 x1
10 O 0.183 0.775 0.812 x1
11 O 0.205 0.246 0.217 x1
12 O 0.278 0.234 0.817 x1
13 O 0.367 0.974 0.494 x1
14 O 0.571 0.610 0.674 x1
15 O 0.643 0.831 0.951 x1
16 O 0.646 0.609 0.321 x1
17 O 0.716 0.164 0.708 x1
18 O 0.733 0.168 0.339 x1
19 O 0.803 0.332 0.031 x1

---

[6]
The following is a calculated XRD peak list of Y3Co. It was derived from the GGA-PBE geometry in the Materials Project, using Cu Kα (weighted mean of Kα1 and Kα2).
Lines closer than 0.1° are merged.

Principal peaks in the range 2θ = 10–90°, low angle first:
2θ = 30.64°, I = 29
2θ = 31.68°, I = 100
2θ = 32.50°, I = 55
2θ = 34.18°, I = 52
2θ = 34.84°, I = 45
2θ = 57.05°, I = 28

Atomic structure:
Cell: 7.016 9.483 6.314 Å, 90.00 90.00 90.00°
Space group Pnma (No. 62)
Symmetry-distinct sites (fractional):
1 Y 0.044 0.250 0.137 x4
2 Y 0.176 0.067 0.675 x8
3 Co 0.112 0.750 0.452 x4

---

[7]
The following is a calculated XRD peak list of PrCuO3. It was derived from the GGA-PBE geometry in the Materials Project, using Cu Kα (weighted mean of Kα1 and Kα2).
Lines closer than 0.1° are merged.

Principal peaks in the range 2θ = 10–90°, low angle first:
2θ = 32.93°, I = 100
2θ = 40.63°, I = 14
2θ = 47.26°, I = 31
2θ = 58.80°, I = 38
2θ = 69.07°, I = 18
2θ = 78.66°, I = 16

Atomic structure:
Cell: 3.846 3.846 3.846 Å, 90.00 90.00 90.00°
Space group Pm-3m (No. 221)
Symmetry-distinct sites (fractional):
1 Pr 0.000 0.000 0.000 x1
2 Cu 0.500 0.500 0.500 x1
3 O 0.000 0.500 0.500 x3